Entry 1:
Structure and computed powder X-ray diffraction pattern of Ba5Y8Zn4O21 (a cell relaxed with GGA-PBE; a wavelength of 1.5418 Å).
No peak broadening, texture or thermal motion is included.

Main lines, by angle (2θ = 10–90°):
| two_theta | I/Imax | hkl |
| --- | --- | --- |
| 27.8 | 26.7 | 3 2 1 |
| 30.7 | 100.0 | 1 4 1 |
| 31.0 | 34.5 | 0 0 2 |
| 35.8 | 17.4 | 3 4 1 |
| 37.6 | 18.1 | 5 3 0 |
| 42.7 | 17.2 | 4 2 2 |
| 49.5 | 15.2 | 5 3 2 |
| 54.9 | 19.1 | 1 4 3 |

Structure:
```
data_Ba5Y8Zn4O21
_chemical_formula_sum 'Ba10 Y16 Zn8 O42'
_symmetry_space_group_name_H-M 'I 4/m'
_symmetry_Int_Tables_number 87
_symmetry_space_group_name_Hall '-I 4'
_cell_length_a 13.934
_cell_length_b 13.934
_cell_length_c 5.770
_cell_angle_alpha 90.00
_cell_angle_beta 90.00
_cell_angle_gamma 90.00
loop_
_atom_site_label
_atom_site_type_symbol
_atom_site_fract_x
_atom_site_fract_y
_atom_site_fract_z
Ba1 Ba 0.000 0.000 0.000
Ba2 Ba 0.036 0.639 0.500
Y1 Y 0.088 0.142 0.500
Y2 Y 0.168 0.753 0.000
Zn1 Zn 0.040 0.251 0.000
O1 O 0.000 0.000 0.500
O2 O 0.037 0.628 0.000
O3 O 0.048 0.822 0.249
O4 O 0.148 0.257 0.247
```

***

Entry 2:
Structure and computed powder X-ray diffraction pattern of UBN (a cell relaxed with GGA-PBE; a wavelength of 1.5418 Å).
No peak broadening, texture or thermal motion is included.

Main lines, by angle (2θ = 10–90°):
| two_theta | I/Imax | hkl |
| --- | --- | --- |
| 26.0 | 63.0 | 1 1 0 |
| 30.3 | 61.0 | 0 4 0 |
| 31.4 | 100.0 | 0 2 1 |
| 33.8 | 65.4 | 1 3 0 |
| 38.1 | 94.6 | 1 1 1 |
| 44.1 | 29.2 | 1 3 1 |
| 54.4 | 68.1 | 1 5 1 |
| 61.1 | 32.9 | 2 2 1 |

Structure:
```
data_UBN
_chemical_formula_sum 'U4 B4 N4'
_symmetry_space_group_name_H-M 'C m c m'
_symmetry_Int_Tables_number 63
_symmetry_space_group_name_Hall '-C 2c 2'
_cell_length_a 3.579
_cell_length_b 11.816
_cell_length_c 3.254
_cell_angle_alpha 90.00
_cell_angle_beta 90.00
_cell_angle_gamma 90.00
loop_
_atom_site_label
_atom_site_type_symbol
_atom_site_fract_x
_atom_site_fract_y
_atom_site_fract_z
U1 U 0.000 0.137 0.250
B1 B 0.000 0.466 0.250
N1 N 0.000 0.338 0.250
```

***

Entry 3:
Structure and computed powder X-ray diffraction pattern of Sb3Se2ClO8 (a cell relaxed with GGA-PBE; a wavelength of 1.5418 Å).
No peak broadening, texture or thermal motion is included.

Main lines, by angle (2θ = 10–90°):
| two_theta | I/Imax | hkl |
| --- | --- | --- |
| 11.1 | 34.1 | 0 0 1 |
| 16.6 | 100.0 | 0 2 0 |
| 27.0 | 31.6 | 2 0 1 |
| 27.5 | 25.4 | 0 3 1 |
| 28.0 | 43.6 | 0 2 2 |
| 29.8 | 21.0 | 2 2 0 |
| 31.9 | 55.3 | 2 2 1 |
| 48.2 | 26.5 | 2 4 2 |

Structure:
```
data_Sb3Se2ClO8
_chemical_formula_sum 'Sb6 Se4 Cl2 O16'
_symmetry_space_group_name_H-M 'P m m n'
_symmetry_Int_Tables_number 59
_cell_length_a 7.252
_cell_length_b 10.649
_cell_length_c 7.944
_cell_angle_alpha 90.00
_cell_angle_beta 90.00
_cell_angle_gamma 90.00
loop_
_symmetry_equiv_pos_as_xyz
'x,y,z'
'-x,-y,-z'
'-x+1/2,-y+1/2,z'
'x+1/2,y+1/2,-z'
'x+1/2,-y,-z'
'-x+1/2,y,z'
'-x,y+1/2,-z'
'x,-y+1/2,z'
loop_
_atom_site_label
_atom_site_type_symbol
_atom_site_fract_x
_atom_site_fract_y
_atom_site_fract_z
Sb1 Sb 0.000 0.000 0.000
Sb2 Sb 0.250 0.250 0.233
Se1 Se 0.250 0.558 0.382
Cl1 Cl 0.250 0.750 0.875
O1 O 0.059 0.577 0.251
O2 O 0.250 0.103 0.422
O3 O 0.250 0.109 0.034
```

***

Entry 4:
Structure and computed powder X-ray diffraction pattern of In3Co (a cell relaxed with GGA-PBE; a wavelength of 1.5418 Å).
No peak broadening, texture or thermal motion is included.

Main lines, by angle (2θ = 10–90°):
| two_theta | I/Imax | hkl |
| --- | --- | --- |
| 29.5 | 65.7 | 0 2 1 |
| 35.5 | 100.0 | 2 2 1 |
| 38.0 | 94.3 | 1 3 1 |
| 38.2 | 86.8 | 3 1 1 |
| 43.5 | 56.8 | 2 4 0 |
| 43.7 | 35.6 | 4 2 0 |
| 45.6 | 45.3 | 0 0 2 |
| 64.8 | 47.9 | 2 4 2 |

Structure:
```
data_In3Co
_chemical_formula_sum 'In12 Co4'
_symmetry_space_group_name_H-M 'C m m m'
_symmetry_Int_Tables_number 65
_symmetry_space_group_name_Hall '-C 2 2'
_cell_length_a 9.250
_cell_length_b 9.324
_cell_length_c 3.977
_cell_angle_alpha 90.00
_cell_angle_beta 90.00
_cell_angle_gamma 90.00
loop_
_atom_site_label
_atom_site_type_symbol
_atom_site_fract_x
_atom_site_fract_y
_atom_site_fract_z
In1 In 0.000 0.160 0.000
In2 In 0.163 0.500 0.000
In3 In 0.250 0.250 0.500
Co1 Co 0.000 0.365 0.500
```

***

Entry 5:
Structure and computed powder X-ray diffraction pattern of Tb2S3 (a cell relaxed with GGA-PBE; a wavelength of 1.5418 Å).
No peak broadening, texture or thermal motion is included.

Main lines, by angle (2θ = 10–90°):
| two_theta | I/Imax | hkl |
| --- | --- | --- |
| 26.2 | 100.0 | 1 1 6 |
| 34.0 | 93.2 | 3 1 0 |
| 40.5 | 58.0 | 2 1 9 |
| 48.8 | 25.7 | 4 0 6 |
| 51.4 | 24.4 | 3 2 9 |
| 56.2 | 28.6 | 3 1 12 |
| 69.4 | 22.2 | 6 1 3 |
| 85.5 | 15.1 | 7 2 3 |

Structure:
```
data_Tb2S3
_chemical_formula_sum 'Tb32 S48'
_symmetry_space_group_name_H-M 'I -4 2 d'
_symmetry_Int_Tables_number 122
_symmetry_space_group_name_Hall 'I -4 2bw'
_cell_length_a 8.348
_cell_length_b 8.348
_cell_length_c 24.978
_cell_angle_alpha 90.00
_cell_angle_beta 90.00
_cell_angle_gamma 90.00
loop_
_atom_site_label
_atom_site_type_symbol
_atom_site_fract_x
_atom_site_fract_y
_atom_site_fract_z
Tb1 Tb 0.000 0.000 0.166
Tb2 Tb 0.119 0.250 0.625
Tb3 Tb 0.136 0.241 0.289
S1 S 0.068 0.178 0.066
S2 S 0.071 0.183 0.395
S3 S 0.079 0.173 0.733
```

***

Entry 6:
Structure and computed powder X-ray diffraction pattern of BaThBr6 (a cell relaxed with GGA-PBE; a wavelength of 1.5418 Å).
No peak broadening, texture or thermal motion is included.

Main lines, by angle (2θ = 10–90°):
| two_theta | I/Imax | hkl |
| --- | --- | --- |
| 11.3 | 32.1 | 1 0 1 |
| 13.2 | 85.1 | 0 0 2 |
| 28.3 | 28.1 | 2 1 1 |
| 30.0 | 100.0 | 1 1 3 |
| 30.8 | 27.3 | 3 0 2 |
| 32.5 | 28.1 | 2 0 4 |
| 35.2 | 52.0 | 3 1 1 |
| 40.1 | 29.2 | 3 1 3 |

Structure:
```
data_BaThBr6
_chemical_formula_sum 'Ba2 Th2 Br12'
_symmetry_space_group_name_H-M 'P m m a'
_symmetry_Int_Tables_number 51
_cell_length_a 9.670
_cell_length_b 4.388
_cell_length_c 13.421
_cell_angle_alpha 90.00
_cell_angle_beta 90.00
_cell_angle_gamma 90.00
loop_
_symmetry_equiv_pos_as_xyz
'x,y,z'
'-x,-y,-z'
'-x+1/2,-y,z'
'x+1/2,y,-z'
'x+1/2,-y,-z'
'-x+1/2,y,z'
'-x,y,-z'
'x,-y,z'
loop_
_atom_site_label
_atom_site_type_symbol
_atom_site_fract_x
_atom_site_fract_y
_atom_site_fract_z
Ba1 Ba 0.250 0.000 0.236
Th1 Th 0.250 0.500 0.749
Br1 Br 0.032 0.500 0.346
Br2 Br 0.082 0.000 0.850
Br3 Br 0.250 0.000 0.600
Br4 Br 0.250 0.500 0.068
```

***

Copy entry 5 word for word.
Structure and computed powder X-ray diffraction pattern of Tb2S3 (a cell relaxed with GGA-PBE; a wavelength of 1.5418 Å).
No peak broadening, texture or thermal motion is included.

Main lines, by angle (2θ = 10–90°):
| two_theta | I/Imax | hkl |
| --- | --- | --- |
| 26.2 | 100.0 | 1 1 6 |
| 34.0 | 93.2 | 3 1 0 |
| 40.5 | 58.0 | 2 1 9 |
| 48.8 | 25.7 | 4 0 6 |
| 51.4 | 24.4 | 3 2 9 |
| 56.2 | 28.6 | 3 1 12 |
| 69.4 | 22.2 | 6 1 3 |
| 85.5 | 15.1 | 7 2 3 |

Structure:
```
data_Tb2S3
_chemical_formula_sum 'Tb32 S48'
_symmetry_space_group_name_H-M 'I -4 2 d'
_symmetry_Int_Tables_number 122
_symmetry_space_group_name_Hall 'I -4 2bw'
_cell_length_a 8.348
_cell_length_b 8.348
_cell_length_c 24.978
_cell_angle_alpha 90.00
_cell_angle_beta 90.00
_cell_angle_gamma 90.00
loop_
_atom_site_label
_atom_site_type_symbol
_atom_site_fract_x
_atom_site_fract_y
_atom_site_fract_z
Tb1 Tb 0.000 0.000 0.166
Tb2 Tb 0.119 0.250 0.625
Tb3 Tb 0.136 0.241 0.289
S1 S 0.068 0.178 0.066
S2 S 0.071 0.183 0.395
S3 S 0.079 0.173 0.733
```